[1]
Computed powder diffractogram of NiIrAu2 for λ = 1.5418 Å (Cu Kα), from a DFT-relaxed cell (GGA-PBE, Alexandria).
No peak broadening, texture or thermal motion is included.

Structural model:
Lattice parameters (Å, degrees): 2.802 2.802 7.884 90.00 90.00 90.00
Positions (direct):
Ni 0.000 0.000 0.000
Ir 0.500 0.500 0.799
Au 0.000 0.000 0.529
Au 0.500 0.500 0.240

Largest 12 diffraction maxima, low angle first, 15 to 90 degrees two-theta:
(1 0 1), 2θ 33.96, intensity 163; (0 0 3), 2θ 34.12, intensity 112; (1 0 2), 2θ 39.46, intensity 1000; (1 1 0), 2θ 45.80, intensity 359; (0 0 4), 2θ 46.05, intensity 121; (1 1 3), 2θ 58.33, intensity 100; (2 0 0), 2θ 66.77, intensity 117; (1 1 4), 2θ 66.97, intensity 159; (1 0 5), 2θ 68.26, intensity 110; (2 0 3), 2θ 77.12, intensity 80; (2 1 2), 2θ 80.42, intensity 259; (2 0 4), 2θ 84.93, intensity 86



[2]
Computed powder diffractogram of P2IrAu for λ = 1.5418 Å (Cu Kα), from a DFT-relaxed cell (GGA-PBE, Alexandria).
No peak broadening, texture or thermal motion is included.

Structural model:
Lattice parameters (Å, degrees): 3.189 4.089 6.007 74.56 82.66 72.26
Positions (direct):
P 0.000 0.000 0.000
P 0.145 0.425 0.392
Ir 0.476 0.879 0.302
Au 0.072 0.594 0.752

Largest 12 diffraction maxima, low angle first, 15 to 90 degrees two-theta:
(0 1 0), 2θ 23.54, intensity 634; (0 1 1), 2θ 24.85, intensity 1000; (0 0 2), 2θ 30.93, intensity 744; (0 1 -1), 2θ 31.23, intensity 373; (1 0 1), 2θ 32.63, intensity 828; (1 0 -1), 2θ 34.06, intensity 492; (1 1 -1), 2θ 38.95, intensity 522; (1 1 2), 2θ 39.62, intensity 343; (1 -1 0), 2θ 43.20, intensity 303; (0 2 1), 2θ 46.84, intensity 311; (0 1 3), 2θ 47.52, intensity 305; (-1 1 2), 2θ 51.29, intensity 368